# CaAl8Pd4
Calculated X-ray powder pattern, Cu Kα, 1.54184 Å. Input: a crystal structure in Alexandria, relaxed with GGA-PBE.
Lines closer than 0.1° are merged.

Most intense lines, 10° ≤ 2θ ≤ 90°, in order of falling intensity:
4.433 Å, intensity 100.0; 2.322 Å, intensity 78.3; 2.057 Å, intensity 57.2; 2.217 Å, intensity 43.5; 3.135 Å, intensity 39.0; 1.983 Å, intensity 39.0

Structure:
```
CaAl8Pd4
1.0
-4.433 4.433 2.725
4.433 -4.433 2.725
4.433 4.433 -2.725
Ca Al Pd
1 8 4
direct
0.000 0.000 0.000
0.000 0.349 0.349
0.000 0.651 0.651
0.278 0.500 0.778
0.349 0.000 0.349
0.500 0.278 0.778
0.500 0.722 0.222
0.651 0.000 0.651
0.722 0.500 0.222
0.000 0.000 0.500
0.000 0.500 0.000
0.500 0.000 0.000
0.500 0.500 0.500
```

***

# Ca3Al3Pd2
Calculated X-ray powder pattern, Cu Kα, 1.54184 Å. Input: a crystal structure in Alexandria, relaxed with GGA-PBE.
Lines closer than 0.1° are merged.

Most intense lines, 10° ≤ 2θ ≤ 90°, in order of falling intensity:
2.438 Å, intensity 100.0; 3.876 Å, intensity 98.2; 2.516 Å, intensity 81.1; 2.723 Å, intensity 63.0; 2.251 Å, intensity 57.7; 2.430 Å, intensity 56.1

Structure:
```
Ca3Al3Pd2
1.0
8.003 0.000 0.000
0.000 15.486 0.000
0.000 0.000 5.896
Ca Al Pd
12 12 8
direct
0.036 0.110 0.112
0.036 0.390 0.112
0.185 0.250 0.616
0.315 0.750 0.116
0.464 0.610 0.612
0.464 0.890 0.612
0.536 0.110 0.388
0.536 0.390 0.388
0.685 0.250 0.884
0.815 0.750 0.384
0.964 0.610 0.888
0.964 0.890 0.888
0.161 0.750 0.598
0.172 0.036 0.605
0.172 0.464 0.605
0.328 0.536 0.105
0.328 0.964 0.105
0.339 0.250 0.098
0.661 0.750 0.902
0.672 0.036 0.895
0.672 0.464 0.895
0.828 0.536 0.395
0.828 0.964 0.395
0.839 0.250 0.402
0.120 0.603 0.383
0.120 0.897 0.383
0.380 0.103 0.883
0.380 0.397 0.883
0.620 0.603 0.117
0.620 0.897 0.117
0.880 0.103 0.617
0.880 0.397 0.617
```

***

# Ca8AlPd2
Calculated X-ray powder pattern, Cu Kα, 1.54184 Å. Input: a crystal structure in Alexandria, relaxed with GGA-PBE.
Lines closer than 0.1° are merged.

Most intense lines, 10° ≤ 2θ ≤ 90°, in order of falling intensity:
5.551 Å, intensity 100.0; 3.095 Å, intensity 93.3; 2.890 Å, intensity 81.5; 2.472 Å, intensity 78.0; 2.864 Å, intensity 76.3; 2.416 Å, intensity 73.9

Structure:
```
Ca8AlPd2
1.0
4.577 -6.770 0.000
4.577 6.770 0.000
-1.439 0.000 5.551
Ca Al Pd
8 1 2
direct
0.000 0.000 0.000
0.049 0.310 0.611
0.134 0.614 0.193
0.310 0.049 0.611
0.439 0.699 0.775
0.614 0.134 0.193
0.699 0.439 0.775
0.748 0.748 0.385
0.374 0.374 0.191
0.058 0.690 0.693
0.690 0.058 0.693
```

***

# CaPmAl2Zn2
Calculated X-ray powder pattern, Cu Kα, 1.54184 Å. Input: a crystal structure in Alexandria, relaxed with GGA-PBE.
Lines closer than 0.1° are merged.

Most intense lines, 10° ≤ 2θ ≤ 90°, in order of falling intensity:
2.696 Å, intensity 100.0; 2.293 Å, intensity 57.4; 7.340 Å, intensity 35.2; 3.494 Å, intensity 34.3; 1.747 Å, intensity 26.7; 1.390 Å, intensity 24.4

Structure:
```
CaPmAl2Zn2
1.0
4.587 0.000 0.000
-2.293 3.972 0.000
0.000 0.000 7.340
Ca Pm Al Zn
1 1 2 2
direct
0.000 0.000 0.000
0.000 0.000 0.500
0.333 0.667 0.730
0.667 0.333 0.270
0.333 0.667 0.268
0.667 0.333 0.732
```